(1)
LiNd2Au3: simulated powder diffractogram (Cu Ka), based on DFT lattice parameters and positions (GGA-PBE).
Neutral-atom scattering factors, no anomalous dispersion.

Principal peaks in the range 2θ = 5–70°, in order of rising 2θ:
2θ (°), I (rel.)
10.89, 16.9
21.94, 9.7
32.83, 100.0
38.18, 14.6
38.42, 41.7
38.56, 23.5
49.43, 11.6
51.50, 17.1
64.32, 29.3
65.98, 13.3

Structural model:
a = 3.6879 Å, b = 4.6697 Å, c = 8.1247 Å
α = 90.00°, β = 90.00°, γ = 90.00°
Element x y z (fractional)
Li: 0.0000 0.0000 0.0000
Nd: 0.5000 0.0000 0.6540
Nd: 0.5000 0.5000 0.1881
Au: 0.0000 0.0000 0.3169
Au: 0.0000 0.5000 0.5167
Au: 0.0000 0.5000 0.8637

***

(2)
YHfZr3: simulated powder diffractogram (Cu Ka), based on DFT lattice parameters and positions (GGA-PBE).
Neutral-atom scattering factors, no anomalous dispersion.

Principal peaks in the range 2θ = 5–70°, in order of rising 2θ:
2θ (°), I (rel.)
16.93, 59.4
24.03, 49.5
29.54, 25.8
34.24, 100.0
38.43, 31.2
42.26, 22.6
49.20, 70.8
52.40, 16.1
61.30, 24.1
66.82, 11.8

Structural model:
a = 5.2383 Å, b = 5.2383 Å, c = 5.2383 Å
α = 90.00°, β = 90.00°, γ = 90.00°
Element x y z (fractional)
Y: 0.0000 0.0000 0.0000
Hf: 0.5000 0.5000 0.5000
Zr: 0.0000 0.5000 0.5000
Zr: 0.5000 0.0000 0.5000
Zr: 0.5000 0.5000 0.0000

***

(3)
ZnIn7Hg2: simulated powder diffractogram (Cu Ka), based on DFT lattice parameters and positions (GGA-PBE).
Neutral-atom scattering factors, no anomalous dispersion.

Principal peaks in the range 2θ = 5–70°, in order of rising 2θ:
2θ (°), I (rel.)
29.30, 30.8
29.80, 51.3
31.43, 36.6
31.67, 34.0
31.90, 50.0
32.42, 100.0
38.12, 39.5
38.70, 37.3
41.41, 40.5
41.75, 52.0

Structural model:
a = 9.2340 Å, b = 9.2340 Å, c = 10.0536 Å
α = 120.29°, β = 120.29°, γ = 46.77°
Element x y z (fractional)
Zn: 0.0009 0.9991 0.7500
Zn: 0.9991 0.0009 0.2500
In: 0.0859 0.2949 0.8571
In: 0.1134 0.7432 0.9345
In: 0.1321 0.5952 0.5108
In: 0.2568 0.8866 0.5655
In: 0.2949 0.0859 0.3571
In: 0.4048 0.8679 0.9892
In: 0.4153 0.5847 0.2500
In: 0.5847 0.4153 0.7500
In: 0.5952 0.1321 0.0108
In: 0.7051 0.9141 0.6429
In: 0.7432 0.1134 0.4345
In: 0.8679 0.4048 0.4892
In: 0.8866 0.2568 0.0655
In: 0.9141 0.7051 0.1429
Hg: 0.2983 0.3164 0.7187
Hg: 0.3164 0.2983 0.2187
Hg: 0.6836 0.7017 0.7813
Hg: 0.7017 0.6836 0.2813

***

(4)
Na2Ac2F7: simulated powder diffractogram (Cu Ka), based on DFT lattice parameters and positions (GGA-PBE).
Neutral-atom scattering factors, no anomalous dispersion.

Principal peaks in the range 2θ = 5–70°, in order of rising 2θ:
2θ (°), I (rel.)
13.68, 100.0
23.32, 25.8
25.31, 44.9
27.13, 44.5
27.55, 16.3
28.88, 55.0
37.76, 36.1
42.22, 16.9
44.58, 23.7
48.28, 17.6

Structural model:
a = 7.7697 Å, b = 7.7697 Å, c = 3.9658 Å
α = 104.71°, β = 104.71°, γ = 58.80°
Element x y z (fractional)
Na: 0.2403 0.7597 0.0000
Na: 0.7597 0.2403 0.0000
Ac: 0.2739 0.2739 0.2742
Ac: 0.7261 0.7261 0.7258
F: 0.1278 0.5295 0.8289
F: 0.1602 0.1602 0.6607
F: 0.4705 0.8722 0.1711
F: 0.5000 0.5000 0.5000
F: 0.5295 0.1278 0.8289
F: 0.8398 0.8398 0.3393
F: 0.8722 0.4705 0.1711

***

(5)
InOsAu2: simulated powder diffractogram (Cu Ka), based on DFT lattice parameters and positions (GGA-PBE).
Neutral-atom scattering factors, no anomalous dispersion.

Principal peaks in the range 2θ = 5–70°, in order of rising 2θ:
2θ (°), I (rel.)
22.43, 0.9
23.89, 4.2
29.94, 0.9
37.73, 100.0
40.27, 1.2
42.86, 35.1
45.78, 14.5
49.65, 1.4
62.22, 11.7
64.51, 21.0

Structural model:
a = 4.2203 Å, b = 4.2203 Å, c = 7.9272 Å
α = 90.00°, β = 90.00°, γ = 90.00°
Element x y z (fractional)
In: 0.0000 0.0000 0.0000
In: 0.5000 0.5000 0.5000
Os: 0.0000 0.5000 0.7500
Os: 0.5000 0.0000 0.2500
Au: 0.0000 0.0000 0.5000
Au: 0.0000 0.5000 0.2500
Au: 0.5000 0.0000 0.7500
Au: 0.5000 0.5000 0.0000

***

(6)
LaHf3Cr: simulated powder diffractogram (Cu Ka), based on DFT lattice parameters and positions (GGA-PBE).
Neutral-atom scattering factors, no anomalous dispersion.

Principal peaks in the range 2θ = 5–70°, in order of rising 2θ:
2θ (°), I (rel.)
17.83, 6.9
31.13, 100.0
36.10, 70.3
40.54, 3.4
51.98, 49.6
55.40, 1.6
61.85, 43.6
64.92, 16.9
67.93, 0.7

Structural model:
a = 4.9755 Å, b = 4.9755 Å, c = 4.9755 Å
α = 90.00°, β = 90.00°, γ = 90.00°
Element x y z (fractional)
La: 0.0000 0.0000 0.0000
Hf: 0.0000 0.5000 0.5000
Hf: 0.5000 0.0000 0.5000
Hf: 0.5000 0.5000 0.0000
Cr: 0.5000 0.5000 0.5000

***

Please write out number 3 again, unchanged.
ZnIn7Hg2: simulated powder diffractogram (Cu Ka), based on DFT lattice parameters and positions (GGA-PBE).
Neutral-atom scattering factors, no anomalous dispersion.

Principal peaks in the range 2θ = 5–70°, in order of rising 2θ:
2θ (°), I (rel.)
29.30, 30.8
29.80, 51.3
31.43, 36.6
31.67, 34.0
31.90, 50.0
32.42, 100.0
38.12, 39.5
38.70, 37.3
41.41, 40.5
41.75, 52.0

Structural model:
a = 9.2340 Å, b = 9.2340 Å, c = 10.0536 Å
α = 120.29°, β = 120.29°, γ = 46.77°
Element x y z (fractional)
Zn: 0.0009 0.9991 0.7500
Zn: 0.9991 0.0009 0.2500
In: 0.0859 0.2949 0.8571
In: 0.1134 0.7432 0.9345
In: 0.1321 0.5952 0.5108
In: 0.2568 0.8866 0.5655
In: 0.2949 0.0859 0.3571
In: 0.4048 0.8679 0.9892
In: 0.4153 0.5847 0.2500
In: 0.5847 0.4153 0.7500
In: 0.5952 0.1321 0.0108
In: 0.7051 0.9141 0.6429
In: 0.7432 0.1134 0.4345
In: 0.8679 0.4048 0.4892
In: 0.8866 0.2568 0.0655
In: 0.9141 0.7051 0.1429
Hg: 0.2983 0.3164 0.7187
Hg: 0.3164 0.2983 0.2187
Hg: 0.6836 0.7017 0.7813
Hg: 0.7017 0.6836 0.2813

***

Number 2 is which compound?
YHfZr3